Record 1
Structure and calculated PXRD pattern of Sn2N2O (a GGA-PBE-relaxed structure; λ = 1.5418 Å (Cu Kα)).
No peak broadening, texture or thermal motion is included.

Crystal structure
```
data_Sn2N2O
_cell_length_a 6.451
_cell_length_b 6.451
_cell_length_c 27.453
_cell_angle_alpha 90.00
_cell_angle_beta 90.00
_cell_angle_gamma 90.00
_symmetry_space_group_name_H-M 'I 41/a m d'
_symmetry_Int_Tables_number 141
loop_
_symmetry_equiv_pos_as_xyz
'x,y,z'
'-x,-y,-z'
'-y+1/4,x+3/4,z+1/4'
'y+1/4,-x+3/4,-z+1/4'
'-x+1/2,-y,z+1/2'
'x+1/2,y,-z+1/2'
'y+1/4,-x+1/4,z+3/4'
'-y+1/4,x+1/4,-z+3/4'
'x,-y,-z'
'-x,y,z'
'-y+1/4,-x+1/4,-z+3/4'
'y+1/4,x+1/4,z+3/4'
'-x+1/2,y,-z+1/2'
'x+1/2,-y,z+1/2'
'y+1/4,x+3/4,-z+1/4'
'-y+1/4,-x+3/4,z+1/4'
'x+1/2,y+1/2,z+1/2'
'-x+1/2,-y+1/2,-z+1/2'
'-y+3/4,x+1/4,z+3/4'
'y+3/4,-x+1/4,-z+3/4'
'-x,-y+1/2,z'
'x,y+1/2,-z'
'y+3/4,-x+3/4,z+1/4'
'-y+3/4,x+3/4,-z+1/4'
'x+1/2,-y+1/2,-z+1/2'
'-x+1/2,y+1/2,z+1/2'
'-y+3/4,-x+3/4,-z+1/4'
'y+3/4,x+3/4,z+1/4'
'-x,y+1/2,-z'
'x,-y+1/2,z'
'y+3/4,x+1/4,-z+3/4'
'-y+3/4,-x+1/4,z+3/4'
loop_
_atom_site_label
_atom_site_fract_x
_atom_site_fract_y
_atom_site_fract_z
Sn1 0.000 0.000 0.000
Sn2 0.000 0.001 0.332
Sn3 0.000 0.250 0.206
N1 0.000 0.016 0.749
N2 0.000 0.017 0.412
O1 0.000 0.037 0.077
```

Principal peaks in the range 2θ from 10° to 80°, by angle:
d 5.273, intensity 27, hkl 1 0 3; d 3.229, intensity 17, hkl 2 0 0; d 2.753, intensity 100, hkl 2 1 3; d 2.636, intensity 33, hkl 2 0 6; d 2.281, intensity 15, hkl 2 2 0; d 1.761, intensity 11, hkl 1 0 15; d 1.756, intensity 29, hkl 3 2 3; d 1.614, intensity 45, hkl 4 0 0; d 1.393, intensity 13, hkl 4 1 9; d 1.376, intensity 12, hkl 4 2 6

Record 2
Structure and calculated PXRD pattern of SrTaNO2 (a GGA-PBE-relaxed structure; λ = 1.5418 Å (Cu Kα)).
No peak broadening, texture or thermal motion is included.

Crystal structure
```
data_SrTaNO2
_cell_length_a 8.110
_cell_length_b 8.212
_cell_length_c 8.043
_cell_angle_alpha 90.00
_cell_angle_beta 90.00
_cell_angle_gamma 90.00
_symmetry_space_group_name_H-M 'A m a 2'
_symmetry_Int_Tables_number 40
loop_
_symmetry_equiv_pos_as_xyz
'x,y,z'
'-x,-y,z'
'-x+1/2,y,z'
'x+1/2,-y,z'
'x,y+1/2,z+1/2'
'-x,-y+1/2,z+1/2'
'-x+1/2,y+1/2,z+1/2'
'x+1/2,-y+1/2,z+1/2'
loop_
_atom_site_label
_atom_site_fract_x
_atom_site_fract_y
_atom_site_fract_z
Sr1 0.250 0.004 0.000
Sr2 0.250 0.004 0.493
Ta1 0.008 0.258 0.250
N1 0.000 0.000 0.747
N2 0.250 0.245 0.223
O1 0.000 0.000 0.273
O2 0.037 0.263 0.507
O3 0.250 0.257 0.797
```

Principal peaks in the range 2θ from 10° to 80°, by angle:
d 4.106, intensity 22, hkl 0 2 0; d 2.885, intensity 100, hkl 2 2 0; d 2.873, intensity 98, hkl 0 2 2; d 2.855, intensity 100, hkl 2 0 2; d 2.053, intensity 29, hkl 0 4 0; d 2.028, intensity 27, hkl 4 0 0; d 2.011, intensity 26, hkl 0 0 4; d 1.667, intensity 40, hkl 2 4 2; d 1.657, intensity 40, hkl 4 2 2; d 1.650, intensity 41, hkl 2 2 4

Record 3
Structure and calculated PXRD pattern of SrTaNO2 (a GGA-PBE-relaxed structure; λ = 1.5418 Å (Cu Kα)).
No peak broadening, texture or thermal motion is included.

Crystal structure
```
data_SrTaNO2
_cell_length_a 4.055
_cell_length_b 4.098
_cell_length_c 4.076
_cell_angle_alpha 90.00
_cell_angle_beta 90.00
_cell_angle_gamma 90.00
_symmetry_space_group_name_H-M 'P m m 2'
_symmetry_Int_Tables_number 25
loop_
_symmetry_equiv_pos_as_xyz
'x,y,z'
'-x,-y,z'
'-x,y,z'
'x,-y,z'
loop_
_atom_site_label
_atom_site_fract_x
_atom_site_fract_y
_atom_site_fract_z
Sr1 0.000 0.000 0.000
Ta1 0.500 0.500 0.507
N1 0.500 0.000 0.477
O1 0.000 0.500 0.500
O2 0.500 0.500 0.994
```

Principal peaks in the range 2θ from 10° to 80°, by angle:
d 4.098, intensity 12, hkl 0 1 0; d 4.076, intensity 10, hkl 0 0 1; d 2.886, intensity 100, hkl 1 1 0; d 2.875, intensity 47, hkl 1 0 1; d 2.049, intensity 14, hkl 0 2 0; d 2.038, intensity 14, hkl 0 0 2; d 2.028, intensity 14, hkl 2 0 0; d 1.669, intensity 19, hkl 1 2 1; d 1.664, intensity 20, hkl 1 1 2; d 1.660, intensity 20, hkl 2 1 1

Record 4
Structure and calculated PXRD pattern of SrTaNO2 (a GGA-PBE-relaxed structure; λ = 1.5418 Å (Cu Kα)).
No peak broadening, texture or thermal motion is included.

Crystal structure
```
data_SrTaNO2
_cell_length_a 8.182
_cell_length_b 8.031
_cell_length_c 8.192
_cell_angle_alpha 90.00
_cell_angle_beta 90.21
_cell_angle_gamma 90.00
_symmetry_space_group_name_H-M 'C 1 2 1'
_symmetry_Int_Tables_number 5
loop_
_symmetry_equiv_pos_as_xyz
'x,y,z'
'-x,y,-z'
'x+1/2,y+1/2,z'
'-x+1/2,y+1/2,-z'
loop_
_atom_site_label
_atom_site_fract_x
_atom_site_fract_y
_atom_site_fract_z
Sr1 0.005 0.000 0.250
Sr2 0.006 0.502 0.250
Ta1 0.241 0.250 0.008
Ta2 0.242 0.751 0.509
N1 0.000 0.227 0.000
N2 0.000 0.771 0.500
N3 0.249 0.272 0.250
O1 0.000 0.222 0.500
O2 0.000 0.775 0.000
O3 0.225 0.498 0.524
O4 0.225 0.500 0.976
O5 0.248 0.723 0.250
```

Principal peaks in the range 2θ from 10° to 80°, by angle:
d 4.094, intensity 22, hkl 2 0 0; d 2.900, intensity 25, hkl 2 0 -2; d 2.889, intensity 26, hkl 2 0 2; d 2.867, intensity 100, hkl 2 2 0; d 2.047, intensity 28, hkl 0 0 4; d 2.008, intensity 13, hkl 0 4 0; d 1.668, intensity 20, hkl 2 2 -4; d 1.664, intensity 21, hkl 2 2 4; d 1.650, intensity 21, hkl 2 4 2; d 1.433, intensity 17, hkl 0 4 4

Record 5
Structure and calculated PXRD pattern of SrTaNO2 (a GGA-PBE-relaxed structure; λ = 1.5418 Å (Cu Kα)).
No peak broadening, texture or thermal motion is included.

Crystal structure
```
data_SrTaNO2
_cell_length_a 5.731
_cell_length_b 5.722
_cell_length_c 9.979
_cell_angle_alpha 90.00
_cell_angle_beta 124.99
_cell_angle_gamma 90.00
_symmetry_space_group_name_H-M 'P 1 c 1'
_symmetry_Int_Tables_number 7
loop_
_symmetry_equiv_pos_as_xyz
'x,y,z'
'x,-y,z+1/2'
loop_
_atom_site_label
_atom_site_fract_x
_atom_site_fract_y
_atom_site_fract_z
Sr1 0.000 0.235 0.000
Sr2 0.501 0.262 0.500
Ta1 0.268 0.246 0.760
Ta2 0.736 0.243 0.244
N1 0.470 0.258 0.996
N2 0.500 0.023 0.263
O1 0.018 0.470 0.224
O2 0.048 0.252 0.493
O3 0.556 0.473 0.766
O4 0.959 0.029 0.724
```

Principal peaks in the range 2θ from 10° to 80°, by angle:
d 4.088, intensity 11, hkl 0 0 2; d 4.049, intensity 21, hkl 1 1 -1; d 2.877, intensity 100, hkl 1 1 -3; d 2.863, intensity 49, hkl 0 2 0; d 2.044, intensity 14, hkl 0 0 4; d 2.025, intensity 27, hkl 2 2 -2; d 1.663, intensity 20, hkl 2 0 -6; d 1.656, intensity 41, hkl 3 1 -5; d 1.438, intensity 16, hkl 2 2 -6; d 1.281, intensity 13, hkl 4 2 -4

Record 6
Structure and calculated PXRD pattern of SrTaNO2 (a GGA-PBE-relaxed structure; λ = 1.5418 Å (Cu Kα)).
No peak broadening, texture or thermal motion is included.

Crystal structure
```
data_SrTaNO2
_cell_length_a 5.731
_cell_length_b 5.743
_cell_length_c 8.190
_cell_angle_alpha 90.05
_cell_angle_beta 90.02
_cell_angle_gamma 90.09
_symmetry_space_group_name_H-M 'P 1'
_symmetry_Int_Tables_number 1
loop_
_symmetry_equiv_pos_as_xyz
'x,y,z'
loop_
_atom_site_label
_atom_site_fract_x
_atom_site_fract_y
_atom_site_fract_z
Sr1 0.000 0.000 0.000
Sr2 0.025 0.000 0.523
Sr3 0.510 0.503 0.999
Sr4 0.535 0.505 0.523
Ta1 0.018 0.485 0.766
Ta2 0.021 0.502 0.248
Ta3 0.516 0.014 0.760
Ta4 0.518 0.001 0.273
N1 0.024 0.536 0.012
N2 0.253 0.226 0.778
N3 0.518 0.028 0.505
N4 0.753 0.266 0.776
O1 0.015 0.460 0.504
O2 0.242 0.216 0.236
O3 0.300 0.720 0.738
O4 0.301 0.715 0.278
O5 0.532 0.946 0.010
O6 0.742 0.273 0.236
O7 0.800 0.769 0.736
O8 0.801 0.774 0.279
```

Principal peaks in the range 2θ from 10° to 80°, by angle:
d 4.095, intensity 11, hkl 0 0 2; d 4.057, intensity 21, hkl 1 1 0; d 2.882, intensity 100, hkl -1 1 2; d 2.868, intensity 50, hkl 2 0 0; d 2.047, intensity 14, hkl 0 0 4; d 2.028, intensity 27, hkl 2 2 0; d 1.666, intensity 20, hkl 2 0 -4; d 1.660, intensity 26, hkl -1 3 2; d 1.657, intensity 15, hkl -3 1 2; d 1.441, intensity 12, hkl -2 2 4

Record 7
Structure and calculated PXRD pattern of SrTaNO2 (a GGA-PBE-relaxed structure; λ = 1.5418 Å (Cu Kα)).
No peak broadening, texture or thermal motion is included.

Crystal structure
```
data_SrTaNO2
_cell_length_a 5.798
_cell_length_b 4.022
_cell_length_c 9.169
_cell_angle_alpha 90.00
_cell_angle_beta 108.06
_cell_angle_gamma 90.00
_symmetry_space_group_name_H-M 'P 1 m 1'
_symmetry_Int_Tables_number 6
loop_
_symmetry_equiv_pos_as_xyz
'x,y,z'
'x,-y,z'
loop_
_atom_site_label
_atom_site_fract_x
_atom_site_fract_y
_atom_site_fract_z
Sr1 0.000 0.000 0.000
Sr2 0.324 0.000 0.672
Sr3 0.652 0.000 0.333
Ta1 0.153 0.500 0.343
Ta2 0.507 0.500 0.008
Ta3 0.817 0.500 0.657
N1 0.497 0.500 0.499
N2 0.821 0.500 0.163
N3 0.996 0.500 0.503
O1 0.151 0.500 0.836
O2 0.165 0.000 0.324
O3 0.320 0.500 0.160
O4 0.475 0.000 0.992
O5 0.648 0.500 0.833
O6 0.829 0.000 0.682
```

Principal peaks in the range 2θ from 10° to 80°, by angle:
d 4.118, intensity 22, hkl 1 0 1; d 4.091, intensity 21, hkl 1 0 -2; d 2.902, intensity 100, hkl 2 0 -1; d 2.877, intensity 97, hkl 1 1 1; d 2.868, intensity 95, hkl 1 1 -2; d 2.059, intensity 28, hkl 2 0 2; d 2.046, intensity 28, hkl 2 0 -4; d 2.011, intensity 27, hkl 0 2 0; d 1.673, intensity 38, hkl 3 1 0; d 1.653, intensity 39, hkl 2 2 -1

Record 8
Structure and calculated PXRD pattern of SrTaNO2 (a GGA-PBE-relaxed structure; λ = 1.5418 Å (Cu Kα)).
No peak broadening, texture or thermal motion is included.

Crystal structure
```
data_SrTaNO2
_cell_length_a 11.549
_cell_length_b 8.096
_cell_length_c 5.807
_cell_angle_alpha 90.00
_cell_angle_beta 90.05
_cell_angle_gamma 90.00
_symmetry_space_group_name_H-M 'C 1 2/m 1'
_symmetry_Int_Tables_number 12
loop_
_symmetry_equiv_pos_as_xyz
'x,y,z'
'-x,-y,-z'
'-x,y,-z'
'x,-y,z'
'x+1/2,y+1/2,z'
'-x+1/2,-y+1/2,-z'
'-x+1/2,y+1/2,-z'
'x+1/2,-y+1/2,z'
loop_
_atom_site_label
_atom_site_fract_x
_atom_site_fract_y
_atom_site_fract_z
Sr1 0.000 0.247 0.000
Sr2 0.250 0.250 0.500
Ta1 0.000 0.000 0.500
Ta2 0.000 0.500 0.500
Ta3 0.248 0.500 0.027
N1 0.113 0.500 0.227
N2 0.133 0.000 0.735
O1 0.000 0.250 0.500
O2 0.116 0.000 0.238
O3 0.137 0.500 0.719
O4 0.250 0.250 0.000
```

Principal peaks in the range 2θ from 10° to 80°, by angle:
d 4.095, intensity 17, hkl 2 0 1; d 4.048, intensity 8, hkl 0 2 0; d 2.904, intensity 20, hkl 0 0 2; d 2.881, intensity 100, hkl 4 0 0; d 2.047, intensity 22, hkl 4 0 2; d 2.024, intensity 11, hkl 0 4 0; d 1.672, intensity 15, hkl 2 2 3; d 1.665, intensity 16, hkl 6 2 1; d 1.657, intensity 8, hkl 4 4 0; d 1.439, intensity 14, hkl 4 4 2

Record 9
Structure and calculated PXRD pattern of SrTaNO2 (a GGA-PBE-relaxed structure; λ = 1.5418 Å (Cu Kα)).
No peak broadening, texture or thermal motion is included.

Crystal structure
```
data_SrTaNO2
_cell_length_a 4.008
_cell_length_b 5.824
_cell_length_c 5.824
_cell_angle_alpha 90.00
_cell_angle_beta 90.00
_cell_angle_gamma 90.00
_symmetry_space_group_name_H-M 'P m c 21'
_symmetry_Int_Tables_number 26
loop_
_symmetry_equiv_pos_as_xyz
'x,y,z'
'-x,-y,z+1/2'
'-x,y,z'
'x,-y,z+1/2'
loop_
_atom_site_label
_atom_site_fract_x
_atom_site_fract_y
_atom_site_fract_z
Sr1 0.000 0.235 0.000
Ta1 0.500 0.267 0.498
N1 0.500 0.488 0.740
O1 0.000 0.230 0.470
O2 0.500 0.017 0.198
```

Principal peaks in the range 2θ from 10° to 80°, by angle:
d 4.118, intensity 23, hkl 0 1 1; d 4.008, intensity 10, hkl 1 0 0; d 2.912, intensity 53, hkl 0 0 2; d 2.872, intensity 100, hkl 1 1 1; d 2.059, intensity 28, hkl 0 2 2; d 2.004, intensity 14, hkl 2 0 0; d 1.673, intensity 41, hkl 1 1 3; d 1.651, intensity 20, hkl 2 0 2; d 1.436, intensity 17, hkl 2 2 2; d 1.302, intensity 9, hkl 0 2 4

Record 10
Structure and calculated PXRD pattern of SrTaNO2 (a GGA-PBE-relaxed structure; λ = 1.5418 Å (Cu Kα)).
No peak broadening, texture or thermal motion is included.

Crystal structure
```
data_SrTaNO2
_cell_length_a 5.676
_cell_length_b 5.676
_cell_length_c 8.253
_cell_angle_alpha 90.00
_cell_angle_beta 90.00
_cell_angle_gamma 90.00
_symmetry_space_group_name_H-M 'I 4/m c m'
_symmetry_Int_Tables_number 140
_symmetry_space_group_name_Hall '-I 4 2c'
loop_
_atom_site_label
_atom_site_fract_x
_atom_site_fract_y
_atom_site_fract_z
Sr1 0.000 0.500 0.250
Ta1 0.000 0.000 0.000
N1 0.000 0.000 0.250
O1 0.205 0.295 0.000
```

Principal peaks in the range 2θ from 10° to 80°, by angle:
d 4.126, intensity 12, hkl 0 0 2; d 4.014, intensity 19, hkl 1 1 0; d 2.877, intensity 100, hkl 1 1 2; d 2.838, intensity 49, hkl 2 0 0; d 2.063, intensity 15, hkl 0 0 4; d 2.007, intensity 26, hkl 2 2 0; d 1.669, intensity 21, hkl 2 0 4; d 1.646, intensity 42, hkl 3 1 2; d 1.439, intensity 17, hkl 2 2 4; d 1.269, intensity 9, hkl 4 2 0

Record 11
Structure and calculated PXRD pattern of SrTaNO2 (a GGA-PBE-relaxed structure; λ = 1.5418 Å (Cu Kα)).
No peak broadening, texture or thermal motion is included.

Crystal structure
```
data_SrTaNO2
_cell_length_a 5.775
_cell_length_b 8.067
_cell_length_c 5.795
_cell_angle_alpha 90.00
_cell_angle_beta 90.38
_cell_angle_gamma 90.00
_symmetry_space_group_name_H-M 'P 1 21 1'
_symmetry_Int_Tables_number 4
loop_
_symmetry_equiv_pos_as_xyz
'x,y,z'
'-x,y+1/2,-z'
loop_
_atom_site_label
_atom_site_fract_x
_atom_site_fract_y
_atom_site_fract_z
Sr1 0.004 0.000 0.495
Sr2 0.495 0.498 0.006
Ta1 0.004 0.748 0.016
Ta2 0.495 0.249 0.516
N1 0.236 0.247 0.734
N2 0.263 0.772 0.234
O1 0.029 0.496 0.027
O2 0.223 0.745 0.729
O3 0.277 0.217 0.229
O4 0.474 0.496 0.469
```

Principal peaks in the range 2θ from 10° to 80°, by angle:
d 4.104, intensity 22, hkl 1 0 -1; d 2.898, intensity 51, hkl 0 0 2; d 2.887, intensity 52, hkl 2 0 0; d 2.877, intensity 98, hkl 1 2 -1; d 2.867, intensity 100, hkl 1 2 1; d 2.052, intensity 28, hkl 2 0 -2; d 2.038, intensity 27, hkl 2 0 2; d 2.017, intensity 27, hkl 0 4 0; d 1.666, intensity 40, hkl 3 2 -1; d 1.654, intensity 41, hkl 2 4 0